Structure and theoretical PXRD pattern of Tb7Er2Tm4 (a DFT-relaxed cell (PBE, Alexandria); copper Kα).
Intensities are scaled so that the largest is 100.

Top 8 peaks for 2θ from 10° to 90°, sorted by position:
two_theta, I_rel, hkl
27.4, 20, 0 0 4
29.6, 17, 1 1 0
30.4, 42, 1 1 1
32.4, 17, 1 0 4
32.7, 100, 2 -1 2
36.3, 30, 1 1 3
51.9, 17, 2 -1 6
52.5, 29, 3 0 0

Crystal structure
abc: 6.036 6.036 13.020
angles: 90.00 90.00 120.00
Atoms (fractional coordinates):
Tb 0.000 0.000 0.000
Tb 0.000 0.363 0.219
Tb 0.000 0.637 0.781
Tb 0.363 0.000 0.219
Tb 0.363 0.363 0.781
Tb 0.637 0.000 0.781
Tb 0.637 0.637 0.219
Er 0.333 0.667 0.000
Er 0.667 0.333 0.000
Tm 0.000 0.000 0.393
Tm 0.000 0.000 0.607
Tm 0.333 0.667 0.500
Tm 0.667 0.333 0.500